1.
Structure and calculated X-ray diffraction stick pattern of Zr3BeTe3 (a cell relaxed with GGA-PBE; Cu Ka).

Principal peaks in the range 2θ from 10° to 90°, low angle first:
2θ = 19.5°, I 18; 2θ = 30.0°, I 43; 2θ = 32.1°, I 100; 2θ = 37.9°, I 22; 2θ = 46.1°, I 68; 2θ = 57.3°, I 22; 2θ = 61.1°, I 16; 2θ = 66.0°, I 13; 2θ = 76.5°, I 25; 2θ = 85.4°, I 18

Structural model:
Cell: 9.646 9.646 9.646 Å, 109.47 109.47 109.47°
Sites, in units of the cell vectors:
1 Zr 0.014 0.028 0.264
2 Zr 0.014 0.486 0.750
3 Zr 0.028 0.264 0.014
4 Zr 0.236 0.264 0.750
5 Zr 0.236 0.472 0.486
6 Zr 0.264 0.014 0.028
7 Zr 0.264 0.750 0.236
8 Zr 0.472 0.486 0.236
9 Zr 0.486 0.236 0.472
10 Zr 0.486 0.750 0.014
11 Zr 0.750 0.014 0.486
12 Zr 0.750 0.236 0.264
13 Be 0.000 0.250 0.500
14 Be 0.250 0.250 0.250
15 Be 0.250 0.500 0.000
16 Be 0.500 0.000 0.250
17 Te 0.250 0.759 0.741
18 Te 0.250 0.991 0.509
19 Te 0.509 0.250 0.991
20 Te 0.509 0.759 0.518
21 Te 0.518 0.509 0.759
22 Te 0.741 0.250 0.759
23 Te 0.741 0.991 0.982
24 Te 0.759 0.518 0.509
25 Te 0.759 0.741 0.250
26 Te 0.982 0.741 0.991
27 Te 0.991 0.509 0.250
28 Te 0.991 0.982 0.741

2.
Structure and calculated X-ray diffraction stick pattern of Pr4IO10 (a cell relaxed with GGA-PBE; Cu Ka).

Principal peaks in the range 2θ from 10° to 90°, low angle first:
2θ = 27.8°, I 100; 2θ = 31.5°, I 10; 2θ = 32.5°, I 19; 2θ = 45.9°, I 36; 2θ = 46.6°, I 17; 2θ = 53.9°, I 16; 2θ = 55.1°, I 29; 2θ = 57.3°, I 9; 2θ = 73.9°, I 12; 2θ = 85.9°, I 10

Structural model:
Cell: 6.789 6.789 6.789 Å, 100.05 100.05 130.62°
Sites, in units of the cell vectors:
1 Pr 0.098 0.695 0.794
2 Pr 0.305 0.098 0.403
3 Pr 0.695 0.902 0.597
4 Pr 0.902 0.305 0.206
5 I 0.500 0.500 0.000
6 O 0.105 0.377 0.920
7 O 0.185 0.105 0.728
8 O 0.250 0.750 0.500
9 O 0.377 0.457 0.272
10 O 0.457 0.185 0.080
11 O 0.543 0.815 0.920
12 O 0.623 0.543 0.728
13 O 0.750 0.250 0.500
14 O 0.815 0.895 0.272
15 O 0.895 0.623 0.080

3.
Structure and calculated X-ray diffraction stick pattern of Ac3TlCd3 (a cell relaxed with GGA-PBE; Cu Ka).

Principal peaks in the range 2θ from 10° to 90°, low angle first:
2θ = 27.5°, I 80; 2θ = 28.0°, I 100; 2θ = 28.6°, I 38; 2θ = 28.8°, I 47; 2θ = 29.9°, I 41; 2θ = 32.6°, I 33; 2θ = 34.5°, I 87; 2θ = 34.6°, I 25; 2θ = 35.6°, I 68; 2θ = 57.0°, I 26

Structural model:
Cell: 6.485 6.485 16.415 Å, 107.04 107.04 45.76°
Sites, in units of the cell vectors:
1 Ac 0.044 0.044 0.386
2 Ac 0.104 0.104 0.923
3 Ac 0.246 0.246 0.224
4 Ac 0.754 0.754 0.776
5 Ac 0.896 0.896 0.077
6 Ac 0.956 0.956 0.614
7 Tl 0.253 0.253 0.612
8 Tl 0.747 0.747 0.388
9 Cd 0.371 0.371 0.460
10 Cd 0.390 0.390 0.926
11 Cd 0.469 0.469 0.771
12 Cd 0.531 0.531 0.229
13 Cd 0.610 0.610 0.074
14 Cd 0.629 0.629 0.540